1.
PbCSBr2N2: theoretical powder diffractogram (Cu Ka), based on a structure optimized by DFT (GGA-PBE).

Most intense lines, 10 to 90 degrees two-theta, in order of rising 2θ:
Position (°2θ), I/Imax
10.2, 100
14.2, 16
16.8, 20
27.3, 34
29.0, 24
31.0, 19

Crystal structure
abc: 4.005 17.279 6.731
angles: 90.00 98.24 90.00
Positions (direct):
1 Pb 0.113 0.000 0.365
2 Pb 0.887 0.500 0.635
3 C 0.482 0.266 0.955
4 C 0.518 0.766 0.045
5 S 0.334 0.417 0.404
6 S 0.666 0.917 0.596
7 Br 0.182 0.481 0.120
8 Br 0.373 0.622 0.583
9 Br 0.627 0.122 0.417
10 Br 0.818 0.981 0.880
11 N 0.277 0.233 0.829
12 N 0.311 0.800 0.920
13 N 0.689 0.300 0.080
14 N 0.723 0.733 0.171

2.
PbC2S2Br2N4: theoretical powder diffractogram (Cu Ka), based on a structure optimized by DFT (GGA-PBE).

Most intense lines, 10 to 90 degrees two-theta, in order of rising 2θ:
Position (°2θ), I/Imax
11.8, 100
17.8, 27
18.8, 22
28.1, 18
29.0, 27
30.6, 18

Crystal structure
abc: 4.006 18.848 8.248
angles: 90.00 98.41 90.00
Positions (direct):
1 Pb 0.119 0.000 0.289
2 Pb 0.881 0.500 0.711
3 C 0.041 0.842 0.814
4 C 0.129 0.252 0.724
5 C 0.871 0.752 0.276
6 C 0.959 0.342 0.186
7 S 0.274 0.710 0.745
8 S 0.327 0.379 0.774
9 S 0.673 0.879 0.226
10 S 0.726 0.210 0.255
11 Br 0.381 0.570 0.498
12 Br 0.492 0.542 0.953
13 Br 0.508 0.042 0.047
14 Br 0.619 0.070 0.502
15 N 0.003 0.199 0.762
16 N 0.085 0.399 0.179
17 N 0.178 0.782 0.818
18 N 0.283 0.307 0.668
19 N 0.717 0.807 0.332
20 N 0.822 0.282 0.182
21 N 0.915 0.899 0.821
22 N 0.997 0.699 0.238

3.
PbCSBr2N2: theoretical powder diffractogram (Cu Ka), based on a structure optimized by DFT (GGA-PBE).

Most intense lines, 10 to 90 degrees two-theta, in order of rising 2θ:
Position (°2θ), I/Imax
16.4, 54
19.7, 60
22.5, 100
28.4, 77
28.7, 61
32.0, 79

Crystal structure
abc: 4.411 17.985 5.682
angles: 90.00 95.23 90.00
Positions (direct):
1 Pb 0.087 0.000 0.397
2 Pb 0.913 0.500 0.603
3 C 0.457 0.789 0.058
4 C 0.543 0.289 0.942
5 S 0.162 0.303 0.526
6 S 0.838 0.803 0.474
7 Br 0.075 0.471 0.102
8 Br 0.407 0.604 0.626
9 Br 0.593 0.104 0.374
10 Br 0.925 0.971 0.898
11 N 0.288 0.788 0.881
12 N 0.365 0.287 0.756
13 N 0.635 0.787 0.244
14 N 0.712 0.288 0.119

4.
PbC2S2Br2N4: theoretical powder diffractogram (Cu Ka), based on a structure optimized by DFT (GGA-PBE).

Most intense lines, 10 to 90 degrees two-theta, in order of rising 2θ:
Position (°2θ), I/Imax
10.9, 100
12.8, 45
21.2, 17
26.0, 17
26.5, 14
28.7, 17

Crystal structure
abc: 4.232 13.799 10.087
angles: 90.00 91.96 90.00
Positions (direct):
1 Pb 0.167 0.000 0.227
2 Pb 0.833 0.500 0.773
3 C 0.064 0.218 0.688
4 C 0.111 0.788 0.771
5 C 0.889 0.288 0.229
6 C 0.936 0.718 0.312
7 S 0.162 0.704 0.666
8 S 0.320 0.359 0.804
9 S 0.680 0.859 0.196
10 S 0.838 0.204 0.334
11 Br 0.388 0.033 0.476
12 Br 0.457 0.558 0.981
13 Br 0.543 0.058 0.019
14 Br 0.612 0.533 0.524
15 N 0.063 0.886 0.801
16 N 0.078 0.825 0.899
17 N 0.112 0.653 0.305
18 N 0.264 0.291 0.675
19 N 0.736 0.791 0.325
20 N 0.888 0.153 0.695
21 N 0.922 0.325 0.101
22 N 0.937 0.386 0.199